Structure and theoretical powder X-ray diffraction pattern of Bi5SbPt3 (a cell relaxed with PBE; a wavelength of 1.5418 Å).
No peak broadening, texture or thermal motion is included.

Most intense lines, 15° ≤ 2θ ≤ 90°, sorted by position:
d 3.378, rel. 100; d 3.041, rel. 87; d 3.013, rel. 84; d 2.940, rel. 68; d 2.891, rel. 67; d 2.226, rel. 80; d 2.204, rel. 81; d 2.000, rel. 87

Atomic structure:
```
data_Bi5SbPt3
_symmetry_space_group_name_H-M 'P 1'
_symmetry_Int_Tables_number 1
_cell_length_a 6.8152
_cell_length_b 4.2227
_cell_length_c 16.8945
_cell_angle_alpha 90.00
_cell_angle_beta 91.09
_cell_angle_gamma 90.00
loop_
_symmetry_equiv_pos_as_xyz
'x,y,z'
loop_
_atom_site_label
_atom_site_fract_x
_atom_site_fract_y
_atom_site_fract_z
Bi1 0.1315 0.0000 0.4250
Bi2 0.1343 0.0000 0.0971
Bi3 0.3611 0.5000 0.5929
Bi4 0.3606 0.5000 0.9269
Bi5 0.3651 0.5000 0.2603
Bi6 0.6349 0.5000 0.7397
Bi7 0.6394 0.5000 0.0731
Bi8 0.6389 0.5000 0.4071
Bi9 0.8657 0.0000 0.9029
Bi10 0.8685 0.0000 0.5750
Sb1 0.1339 0.0000 0.7612
Sb2 0.8661 0.0000 0.2388
Pt1 0.0000 0.5000 0.0000
Pt2 0.0063 0.5000 0.6732
Pt3 0.4894 0.0000 0.8312
Pt4 0.5000 0.0000 0.5000
Pt5 0.5106 0.0000 0.1688
Pt6 0.9937 0.5000 0.3268
```


Structure and theoretical powder X-ray diffraction pattern of NpTlInCl6 (a cell relaxed with PBE; a wavelength of 1.5418 Å).
No peak broadening, texture or thermal motion is included.

Most intense lines, 15° ≤ 2θ ≤ 90°, sorted by position:
d 4.984, rel. 100; d 3.801, rel. 74; d 3.524, rel. 19; d 2.584, rel. 81; d 2.492, rel. 24; d 2.229, rel. 19; d 2.084, rel. 29; d 2.055, rel. 21

Atomic structure:
```
data_NpTlInCl6
_symmetry_space_group_name_H-M 'P 1'
_symmetry_Int_Tables_number 1
_cell_length_a 7.0479
_cell_length_b 7.0479
_cell_length_c 13.5387
_cell_angle_alpha 90.00
_cell_angle_beta 90.00
_cell_angle_gamma 90.00
loop_
_symmetry_equiv_pos_as_xyz
'x,y,z'
loop_
_atom_site_label
_atom_site_fract_x
_atom_site_fract_y
_atom_site_fract_z
Np1 0.0000 0.0000 0.0000
Np2 0.5000 0.5000 0.5000
Tl1 0.0000 0.0000 0.6652
Tl2 0.5000 0.5000 0.1652
In1 0.0000 0.0000 0.3328
In2 0.5000 0.5000 0.8328
Cl1 0.1776 0.1776 0.1440
Cl2 0.1826 0.1826 0.8600
Cl3 0.2377 0.2377 0.4981
Cl4 0.2623 0.7377 0.9981
Cl5 0.3174 0.6826 0.3600
Cl6 0.3224 0.6776 0.6440
Cl7 0.6776 0.3224 0.6440
Cl8 0.6826 0.3174 0.3600
Cl9 0.7377 0.2623 0.9981
Cl10 0.7623 0.7623 0.4981
Cl11 0.8174 0.8174 0.8600
Cl12 0.8224 0.8224 0.1440
```


Structure and theoretical powder X-ray diffraction pattern of Mg2ZnHg (a cell relaxed with PBE; a wavelength of 1.5418 Å).
No peak broadening, texture or thermal motion is included.

Most intense lines, 15° ≤ 2θ ≤ 90°, sorted by position:
d 3.951, rel. 28; d 3.881, rel. 32; d 3.510, rel. 65; d 3.184, rel. 29; d 2.518, rel. 20; d 2.447, rel. 31; d 2.358, rel. 100; d 2.239, rel. 20

Atomic structure:
```
data_Mg2ZnHg
_symmetry_space_group_name_H-M 'P 1'
_symmetry_Int_Tables_number 1
_cell_length_a 4.8946
_cell_length_b 6.3688
_cell_length_c 5.0368
_cell_angle_alpha 90.00
_cell_angle_beta 90.00
_cell_angle_gamma 90.00
loop_
_symmetry_equiv_pos_as_xyz
'x,y,z'
loop_
_atom_site_label
_atom_site_fract_x
_atom_site_fract_y
_atom_site_fract_z
Mg1 0.2500 0.0007 0.2013
Mg2 0.2500 0.4993 0.2013
Mg3 0.7500 0.5007 0.7987
Mg4 0.7500 0.9993 0.7987
Zn1 0.2500 0.2500 0.7002
Zn2 0.7500 0.7500 0.2998
Hg1 0.2500 0.7500 0.6915
Hg2 0.7500 0.2500 0.3085
```